Entry 1:
Simulated powder diffraction line list
Compound: Rb2MnNiS4
Radiation: CuKα
Structure: a cell relaxed with PBE
Peak positions follow from Bragg's law for the DFT cell and can differ from measured ones.

Peak list (12 most intense, 2θ from 10° to 80°, sorted by position)
- 15.02°, I 51
- 21.44°, I 20
- 26.02°, I 26
- 26.18°, I 100
- 28.34°, I 72
- 32.25°, I 55
- 36.83°, I 28
- 41.53°, I 36
- 45.99°, I 26
- 49.67°, I 24
- 53.30°, I 27
- 60.55°, I 16

Crystal structure
a = 13.620 Å, b = 12.059 Å, c = 7.330 Å
α = 85.57°, β = 61.98°, γ = 32.45°
Atoms (fractional coordinates):
Rb 0.053 0.053 0.697
Rb 0.303 0.303 0.947
Rb 0.697 0.697 0.053
Rb 0.947 0.947 0.303
Mn 0.375 0.375 0.375
Mn 0.625 0.625 0.625
Ni 0.125 0.125 0.125
Ni 0.875 0.875 0.875
S 0.008 0.347 0.424
S 0.278 0.576 0.653
S 0.347 0.008 0.722
S 0.424 0.722 0.008
S 0.576 0.278 0.992
S 0.653 0.992 0.278
S 0.722 0.424 0.347
S 0.992 0.653 0.576

***

Entry 2:
Simulated powder diffraction line list
Compound: K4CdAg5
Radiation: CuKα
Structure: a cell relaxed with PBE
Peak positions follow from Bragg's law for the DFT cell and can differ from measured ones.

Peak list (12 most intense, 2θ from 10° to 80°, sorted by position)
- 12.35°, I 100
- 15.74°, I 20
- 15.87°, I 18
- 17.50°, I 14
- 26.48°, I 16
- 27.84°, I 42
- 34.46°, I 22
- 36.44°, I 17
- 38.55°, I 14
- 38.76°, I 27
- 39.12°, I 15
- 39.78°, I 18

Crystal structure
a = 6.732 Å, b = 7.875 Å, c = 7.898 Å
α = 80.12°, β = 65.23°, γ = 65.40°
Atoms (fractional coordinates):
K 0.000 0.000 0.000
K 0.156 0.221 0.459
K 0.385 0.381 0.839
K 0.771 0.840 0.619
Cd 0.295 0.611 0.229
Ag 0.393 0.732 0.499
Ag 0.513 0.881 0.108
Ag 0.658 0.341 0.350
Ag 0.779 0.489 0.960
Ag 0.876 0.611 0.230

***

Entry 3:
Simulated powder diffraction line list
Compound: Rb4Np3InTe8
Radiation: CuKα
Structure: a cell relaxed with PBE
Peak positions follow from Bragg's law for the DFT cell and can differ from measured ones.

Peak list (12 most intense, 2θ from 10° to 80°, sorted by position)
- 10.51°, I 38
- 26.30°, I 100
- 33.38°, I 18
- 36.19°, I 32
- 38.83°, I 39
- 40.34°, I 10
- 45.50°, I 11
- 47.51°, I 20
- 54.12°, I 10
- 59.29°, I 9
- 62.97°, I 17
- 68.59°, I 10

Crystal structure
a = 9.979 Å, b = 9.979 Å, c = 9.979 Å
α = 55.40°, β = 55.40°, γ = 55.40°
Atoms (fractional coordinates):
Rb 0.000 0.000 0.000
Rb 0.000 0.500 0.500
Rb 0.500 0.000 0.500
Rb 0.500 0.500 0.000
Np 0.000 0.000 0.500
Np 0.000 0.500 0.000
Np 0.500 0.000 0.000
In 0.500 0.500 0.500
Te 0.225 0.735 0.735
Te 0.233 0.233 0.233
Te 0.265 0.265 0.775
Te 0.265 0.775 0.265
Te 0.735 0.225 0.735
Te 0.735 0.735 0.225
Te 0.767 0.767 0.767
Te 0.775 0.265 0.265

***

Entry 4:
Simulated powder diffraction line list
Compound: InGaSe2
Radiation: CuKα
Structure: a cell relaxed with PBE
Peak positions follow from Bragg's law for the DFT cell and can differ from measured ones.

Peak list (12 most intense, 2θ from 10° to 80°, sorted by position)
- 21.36°, I 35
- 27.94°, I 74
- 28.71°, I 24
- 30.38°, I 49
- 32.57°, I 35
- 34.07°, I 24
- 45.14°, I 100
- 47.36°, I 13
- 48.95°, I 28
- 50.39°, I 14
- 64.47°, I 17
- 72.94°, I 18

Crystal structure
a = 6.655 Å, b = 6.655 Å, c = 6.655 Å
α = 102.61°, β = 102.61°, γ = 124.29°
Atoms (fractional coordinates):
In 0.000 0.000 0.000
In 0.500 0.500 0.000
Ga 0.251 0.751 0.500
Ga 0.751 0.251 0.500
Se 0.162 0.662 0.821
Se 0.341 0.162 0.500
Se 0.662 0.841 0.500
Se 0.841 0.341 0.179

***

Entry 5:
Simulated powder diffraction line list
Compound: La3DyY7
Radiation: CuKα
Structure: a cell relaxed with PBE
Peak positions follow from Bragg's law for the DFT cell and can differ from measured ones.

Peak list (12 most intense, 2θ from 10° to 80°, sorted by position)
- 24.93°, I 14
- 26.98°, I 30
- 31.04°, I 100
- 31.61°, I 35
- 31.65°, I 66
- 31.76°, I 30
- 31.94°, I 77
- 32.13°, I 14
- 32.42°, I 16
- 32.60°, I 28
- 34.10°, I 21
- 56.82°, I 16

Crystal structure
a = 6.597 Å, b = 6.775 Å, c = 8.728 Å
α = 99.84°, β = 98.24°, γ = 95.16°
Atoms (fractional coordinates):
La 0.000 0.000 0.000
La 0.195 0.562 0.165
La 0.805 0.438 0.835
Dy 0.500 0.000 0.500
Y 0.011 0.769 0.580
Y 0.283 0.277 0.788
Y 0.440 0.793 0.852
Y 0.500 0.500 0.500
Y 0.560 0.207 0.148
Y 0.717 0.723 0.212
Y 0.989 0.231 0.420

***

Entry 6:
Simulated powder diffraction line list
Compound: YMg2Al9
Radiation: CuKα
Structure: a cell relaxed with PBE
Peak positions follow from Bragg's law for the DFT cell and can differ from measured ones.

Peak list (12 most intense, 2θ from 10° to 80°, sorted by position)
- 23.11°, I 13
- 25.19°, I 11
- 30.09°, I 21
- 32.81°, I 23
- 33.00°, I 28
- 34.54°, I 9
- 38.45°, I 28
- 38.83°, I 100
- 40.35°, I 20
- 45.19°, I 9
- 62.84°, I 20
- 69.24°, I 16

Crystal structure
a = 9.475 Å, b = 9.475 Å, c = 9.475 Å
α = 33.29°, β = 33.29°, γ = 33.29°
Atoms (fractional coordinates):
Y 0.000 0.000 0.000
Mg 0.144 0.144 0.144
Mg 0.856 0.856 0.856
Al 0.080 0.585 0.585
Al 0.335 0.335 0.335
Al 0.415 0.415 0.920
Al 0.415 0.920 0.415
Al 0.500 0.500 0.500
Al 0.585 0.080 0.585
Al 0.585 0.585 0.080
Al 0.665 0.665 0.665
Al 0.920 0.415 0.415

***

Entry 7:
Simulated powder diffraction line list
Compound: PaTa2In2S6
Radiation: CuKα
Structure: a cell relaxed with PBE
Peak positions follow from Bragg's law for the DFT cell and can differ from measured ones.

Peak list (12 most intense, 2θ from 10° to 80°, sorted by position)
- 11.25°, I 100
- 20.28°, I 26
- 22.61°, I 51
- 28.68°, I 25
- 30.24°, I 37
- 32.47°, I 83
- 32.75°, I 46
- 40.54°, I 22
- 43.07°, I 33
- 46.17°, I 15
- 47.95°, I 16
- 50.29°, I 25

Crystal structure
a = 6.156 Å, b = 6.156 Å, c = 8.042 Å
α = 96.19°, β = 96.19°, γ = 117.73°
Atoms (fractional coordinates):
Pa 0.000 0.000 0.000
Ta 0.361 0.639 0.000
Ta 0.639 0.361 0.000
In 0.179 0.821 0.500
In 0.821 0.179 0.500
S 0.052 0.414 0.184
S 0.280 0.280 0.787
S 0.414 0.052 0.184
S 0.586 0.948 0.816
S 0.720 0.720 0.213
S 0.948 0.586 0.816

***

Entry 8:
Simulated powder diffraction line list
Compound: Sr3TiBe2O6
Radiation: CuKα
Structure: a cell relaxed with PBE
Peak positions follow from Bragg's law for the DFT cell and can differ from measured ones.

Peak list (12 most intense, 2θ from 10° to 80°, sorted by position)
- 13.24°, I 32
- 23.12°, I 80
- 32.86°, I 100
- 33.00°, I 97
- 40.45°, I 21
- 40.68°, I 64
- 47.26°, I 67
- 53.16°, I 22
- 53.34°, I 19
- 58.87°, I 54
- 68.90°, I 18
- 69.22°, I 20

Crystal structure
a = 5.429 Å, b = 5.429 Å, c = 6.690 Å
α = 90.00°, β = 90.00°, γ = 120.00°
Atoms (fractional coordinates):
Sr 0.000 0.000 0.000
Sr 0.333 0.667 0.670
Sr 0.667 0.333 0.330
Ti 0.000 0.000 0.500
Be 0.333 0.667 0.258
Be 0.667 0.333 0.742
O 0.171 0.342 0.321
O 0.171 0.829 0.321
O 0.342 0.171 0.679
O 0.658 0.829 0.321
O 0.829 0.171 0.679
O 0.829 0.658 0.679

***

Entry 9:
Simulated powder diffraction line list
Compound: Na7Cd3Ag
Radiation: CuKα
Structure: a cell relaxed with PBE
Peak positions follow from Bragg's law for the DFT cell and can differ from measured ones.

Peak list (12 most intense, 2θ from 10° to 80°, sorted by position)
- 12.72°, I 42
- 13.27°, I 100
- 18.42°, I 29
- 28.95°, I 15
- 29.69°, I 85
- 37.34°, I 46
- 37.94°, I 34
- 41.21°, I 16
- 42.67°, I 20
- 44.36°, I 14
- 47.17°, I 14
- 48.58°, I 16

Crystal structure
a = 7.707 Å, b = 7.707 Å, c = 6.957 Å
α = 90.00°, β = 90.00°, γ = 120.00°
Atoms (fractional coordinates):
Na 0.000 0.000 0.000
Na 0.341 0.170 0.503
Na 0.503 0.005 0.899
Na 0.503 0.497 0.899
Na 0.830 0.170 0.503
Na 0.830 0.659 0.503
Na 0.995 0.497 0.899
Cd 0.202 0.404 0.246
Cd 0.202 0.798 0.246
Cd 0.596 0.798 0.246
Ag 0.333 0.667 0.582

***

Entry 10:
Simulated powder diffraction line list
Compound: LiZn5Pt6
Radiation: CuKα
Structure: a cell relaxed with PBE
Peak positions follow from Bragg's law for the DFT cell and can differ from measured ones.

Peak list (12 most intense, 2θ from 10° to 80°, sorted by position)
- 25.17°, I 23
- 31.29°, I 27
- 40.57°, I 100
- 44.77°, I 19
- 44.91°, I 19
- 51.68°, I 12
- 52.17°, I 7
- 61.66°, I 8
- 65.28°, I 12
- 70.82°, I 14
- 79.66°, I 14
- 79.86°, I 14

Crystal structure
a = 7.298 Å, b = 7.298 Å, c = 4.049 Å
α = 106.06°, β = 106.06°, γ = 112.15°
Atoms (fractional coordinates):
Li 0.000 0.000 0.000
Zn 0.161 0.839 0.500
Zn 0.331 0.669 0.000
Zn 0.500 0.500 0.500
Zn 0.669 0.331 0.000
Zn 0.839 0.161 0.500
Pt 0.085 0.418 0.252
Pt 0.254 0.254 0.754
Pt 0.418 0.085 0.252
Pt 0.582 0.915 0.748
Pt 0.746 0.746 0.246
Pt 0.915 0.582 0.748

***

Entry 11:
Simulated powder diffraction line list
Compound: Rb3SrTh2Se6
Radiation: CuKα
Structure: a cell relaxed with PBE
Peak positions follow from Bragg's law for the DFT cell and can differ from measured ones.

Peak list (12 most intense, 2θ from 10° to 80°, sorted by position)
- 11.00°, I 30
- 27.65°, I 100
- 35.08°, I 12
- 37.80°, I 13
- 38.13°, I 24
- 40.81°, I 24
- 41.18°, I 12
- 50.31°, I 12
- 57.13°, I 7
- 62.68°, I 8
- 66.45°, I 10
- 72.99°, I 7

Crystal structure
a = 10.474 Å, b = 10.474 Å, c = 9.564 Å
α = 108.51°, β = 108.51°, γ = 24.16°
Atoms (fractional coordinates):
Rb 0.000 0.000 0.000
Rb 0.338 0.338 0.667
Rb 0.662 0.662 0.333
Sr 0.000 0.000 0.500
Th 0.333 0.333 0.165
Th 0.667 0.667 0.835
Se 0.164 0.164 0.621
Se 0.178 0.178 0.057
Se 0.481 0.481 0.259
Se 0.519 0.519 0.741
Se 0.822 0.822 0.943
Se 0.836 0.836 0.379

***

Entry 12:
Simulated powder diffraction line list
Compound: La5DyTm3
Radiation: CuKα
Structure: a cell relaxed with PBE
Peak positions follow from Bragg's law for the DFT cell and can differ from measured ones.

Peak list (12 most intense, 2θ from 10° to 80°, sorted by position)
- 15.62°, I 18
- 24.27°, I 17
- 27.24°, I 35
- 27.67°, I 29
- 29.22°, I 30
- 30.73°, I 67
- 31.53°, I 83
- 31.81°, I 100
- 33.24°, I 31
- 34.56°, I 22
- 55.45°, I 19
- 56.98°, I 20

Crystal structure
a = 10.049 Å, b = 10.049 Å, c = 11.529 Å
α = 114.82°, β = 114.82°, γ = 38.03°
Atoms (fractional coordinates):
La 0.029 0.640 0.288
La 0.100 0.900 0.750
La 0.151 0.500 0.640
La 0.360 0.971 0.212
La 0.500 0.151 0.140
La 0.500 0.849 0.860
La 0.640 0.029 0.788
La 0.849 0.500 0.360
La 0.900 0.100 0.250
La 0.971 0.360 0.712
Dy 0.372 0.628 0.250
Dy 0.628 0.372 0.750
Tm 0.056 0.625 0.986
Tm 0.375 0.944 0.514
Tm 0.500 0.500 0.000
Tm 0.500 0.500 0.500
Tm 0.625 0.056 0.486
Tm 0.944 0.375 0.014

***

Entry 13:
Simulated powder diffraction line list
Compound: K4LiZr3Se8
Radiation: CuKα
Structure: a cell relaxed with PBE
Peak positions follow from Bragg's law for the DFT cell and can differ from measured ones.

Peak list (12 most intense, 2θ from 10° to 80°, sorted by position)
- 11.58°, I 31
- 13.35°, I 7
- 30.14°, I 100
- 37.79°, I 17
- 40.86°, I 30
- 45.33°, I 35
- 46.95°, I 6
- 51.14°, I 11
- 55.40°, I 17
- 62.65°, I 8
- 74.28°, I 14
- 78.80°, I 7

Crystal structure
a = 8.930 Å, b = 8.930 Å, c = 8.930 Å
α = 53.24°, β = 53.24°, γ = 53.24°
Atoms (fractional coordinates):
K 0.000 0.000 0.000
K 0.000 0.500 0.500
K 0.500 0.000 0.500
K 0.500 0.500 0.000
Li 0.500 0.500 0.500
Zr 0.000 0.000 0.500
Zr 0.000 0.500 0.000
Zr 0.500 0.000 0.000
Se 0.224 0.736 0.736
Se 0.234 0.234 0.234
Se 0.264 0.264 0.776
Se 0.264 0.776 0.264
Se 0.736 0.224 0.736
Se 0.736 0.736 0.224
Se 0.766 0.766 0.766
Se 0.776 0.264 0.264